For La4Ho4Tm5, a DFT-relaxed cell (PBE, Alexandria) gives the computed X-ray diffraction stick pattern in this record (Cu Kα (λ = 1.5418 Å)).
Intensities are scaled so that the largest is 100.

Atomic structure:
```
data_La4Ho4Tm5
_chemical_formula_sum 'La8 Ho8 Tm10'
_symmetry_space_group_name_H-M 'I 4/m'
_symmetry_Int_Tables_number 87
_symmetry_space_group_name_Hall '-I 4'
_cell_length_a 12.903
_cell_length_b 12.903
_cell_length_c 5.072
_cell_angle_alpha 90.00
_cell_angle_beta 90.00
_cell_angle_gamma 90.00
loop_
_atom_site_label
_atom_site_fract_x
_atom_site_fract_y
_atom_site_fract_z
La1 0.079 0.382 0.000
Ho1 0.152 0.772 0.000
Tm1 0.000 0.000 0.000
Tm2 0.040 0.187 0.500
```

Principal peaks in the range 2θ from 5° to 70°, sorted by position:
two_theta  d [Å]  intensity  h k l
30.57  2.924  100.0  3 2 1
35.45  2.532  50.5  0 0 2
51.00  1.791  35.9  1 5 2
60.57  1.529  14.4  3 2 3
60.68  1.526  28.1  8 1 1
63.64  1.462  12.2  6 4 2